Structure and theoretical powder XRD pattern of ZnGa4Ag (a DFT-relaxed cell (PBE, Alexandria); Cu Kα, 1.54184 Å).

Main lines, in order of rising 2θ (10 to 90 degrees two-theta):
2θ (°)  I/Imax
35.17  55
37.60  69
38.03  89
40.23  100
41.98  66
49.16  21
63.37  25
69.63  18
73.48  28
74.81  20

Structural model:
```
data_ZnGa4Ag
_chemical_formula_sum 'Zn2 Ga8 Ag2'
_space_group_name_H-M_alt 'P 1 2/c 1'
_space_group_IT_number 13
_space_group_name_Hall '-P 2yc'
_cell_length_a 8.144
_cell_length_b 5.075
_cell_length_c 5.327
_cell_angle_alpha 90.00
_cell_angle_beta 99.89
_cell_angle_gamma 90.00
loop_
_atom_site_label
_atom_site_fract_x
_atom_site_fract_y
_atom_site_fract_z
Zn1 0.000 0.076 0.250
Ga1 0.164 0.402 0.925
Ga2 0.329 0.101 0.576
Ag1 0.500 0.392 0.250
```